Starting from DFT lattice parameters and positions (GGA-PBE), the X-ray diffraction stick pattern of MnFeOs was calculated for a wavelength of 1.5418 Å.
Kinematic intensities with the Lorentz-polarization factor, no thermal factor.

Structure:
a b c (Å): 5.738 4.746 4.538
angles (deg): 76.31 53.48 50.21
Element x y z (fractional)
Mn: 0.136 0.136 0.864
Mn: 0.864 0.864 0.136
Fe: 0.250 0.250 0.250
Fe: 0.750 0.750 0.750
Os: 0.346 0.654 0.346
Os: 0.654 0.346 0.654

Main lines, low angle first (2θ = 10–90°):
21.29°, intensity 396
25.11°, intensity 354
39.73°, intensity 542
39.93°, intensity 194
41.23°, intensity 1000
45.68°, intensity 444
49.43°, intensity 194
51.32°, intensity 233
51.54°, intensity 189
52.00°, intensity 203
73.40°, intensity 181
79.22°, intensity 185

=====

Starting from DFT lattice parameters and positions (GGA-PBE), the X-ray diffraction stick pattern of Mn6Fe5Os was calculated for a wavelength of 1.5418 Å.
Kinematic intensities with the Lorentz-polarization factor, no thermal factor.

Structure:
a b c (Å): 4.019 5.730 6.344
angles (deg): 90.00 108.40 90.00
Element x y z (fractional)
Mn: 0.000 0.239 0.000
Mn: 0.000 0.761 0.000
Mn: 0.330 0.247 0.659
Mn: 0.330 0.753 0.659
Mn: 0.670 0.247 0.341
Mn: 0.670 0.753 0.341
Fe: 0.165 0.500 0.331
Fe: 0.166 0.000 0.331
Fe: 0.500 0.000 0.000
Fe: 0.834 0.000 0.669
Fe: 0.835 0.500 0.669
Os: 0.500 0.500 0.000

Main lines, low angle first (2θ = 10–90°):
14.72°, intensity 87
15.47°, intensity 70
21.41°, intensity 77
23.33°, intensity 61
28.12°, intensity 95
44.95°, intensity 1000
45.15°, intensity 494
65.12°, intensity 76
65.77°, intensity 148
82.77°, intensity 149
83.16°, intensity 148
83.27°, intensity 146